For Ca3Ga3Ge3O14, a GGA-PBE-relaxed structure gives the simulated XRD peak list in this record (λ = 1.5418 Å (Cu Kα)).
Kinematic intensities with the Lorentz-polarization factor, no thermal factor.

Largest 12 diffraction maxima, by intensity, 15 to 90 degrees two-theta:
d (Å)  I (rel.)
2.911  100
2.377  94
3.188  76
1.556  59
1.841  49
4.117  48
2.696  32
1.729  24
1.425  22
5.038  20
1.142  17
1.241  16

Structure:
Unit cell a=8.236 b=8.236 c=5.038 alpha=90.00 beta=90.00 gamma=120.00
Positions (direct):
1 Ca 0.000 0.578 0.000
2 Ca 0.422 0.422 0.000
3 Ca 0.578 0.000 0.000
4 Ga 0.000 0.242 0.500
5 Ga 0.242 0.000 0.500
6 Ga 0.758 0.758 0.500
7 Ge 0.000 0.000 0.000
8 Ge 0.333 0.667 0.541
9 Ge 0.667 0.333 0.459
10 O 0.078 0.863 0.229
11 O 0.137 0.215 0.229
12 O 0.147 0.464 0.696
13 O 0.215 0.137 0.771
14 O 0.317 0.853 0.696
15 O 0.333 0.667 0.196
16 O 0.464 0.147 0.304
17 O 0.536 0.683 0.696
18 O 0.667 0.333 0.804
19 O 0.683 0.536 0.304
20 O 0.785 0.922 0.229
21 O 0.853 0.317 0.304
22 O 0.863 0.078 0.771
23 O 0.922 0.785 0.771


For Li3CuF6, a GGA-PBE-relaxed structure gives the simulated XRD peak list in this record (λ = 1.5418 Å (Cu Kα)).
Kinematic intensities with the Lorentz-polarization factor, no thermal factor.

Largest 12 diffraction maxima, by intensity, 15 to 90 degrees two-theta:
d (Å)  I (rel.)
4.288  100
3.714  74
2.240  42
2.349  34
1.661  33
1.516  32
1.857  22
1.985  22
2.626  21
1.704  17
1.429  15
1.256  14

Structure:
Unit cell a=7.428 b=7.428 c=7.428 alpha=90.00 beta=90.00 gamma=90.00
Positions (direct):
1 Li 0.000 0.000 0.000
2 Li 0.000 0.500 0.500
3 Li 0.250 0.250 0.250
4 Li 0.250 0.250 0.750
5 Li 0.250 0.750 0.250
6 Li 0.250 0.750 0.750
7 Li 0.500 0.000 0.500
8 Li 0.500 0.500 0.000
9 Li 0.750 0.250 0.250
10 Li 0.750 0.250 0.750
11 Li 0.750 0.750 0.250
12 Li 0.750 0.750 0.750
13 Cu 0.000 0.000 0.500
14 Cu 0.000 0.500 0.000
15 Cu 0.500 0.000 0.000
16 Cu 0.500 0.500 0.500
17 F 0.054 0.571 0.757
18 F 0.054 0.929 0.743
19 F 0.071 0.243 0.554
20 F 0.071 0.257 0.946
21 F 0.243 0.554 0.071
22 F 0.243 0.946 0.429
23 F 0.257 0.554 0.429
24 F 0.257 0.946 0.071
25 F 0.429 0.243 0.946
26 F 0.429 0.257 0.554
27 F 0.446 0.571 0.743
28 F 0.446 0.929 0.757
29 F 0.554 0.071 0.243
30 F 0.554 0.429 0.257
31 F 0.571 0.743 0.446
32 F 0.571 0.757 0.054
33 F 0.743 0.054 0.929
34 F 0.743 0.446 0.571
35 F 0.757 0.054 0.571
36 F 0.757 0.446 0.929
37 F 0.929 0.743 0.054
38 F 0.929 0.757 0.446
39 F 0.946 0.071 0.257
40 F 0.946 0.429 0.243


For NdHo3, a GGA-PBE-relaxed structure gives the simulated XRD peak list in this record (λ = 1.5418 Å (Cu Kα)).
Kinematic intensities with the Lorentz-polarization factor, no thermal factor.

Largest 8 diffraction maxima, by intensity, 15 to 90 degrees two-theta:
d (Å)  I (rel.)
2.915  100
2.525  51
1.522  43
1.785  36
1.158  18
1.129  17
1.458  12
1.262  6

Structure:
Unit cell a=5.049 b=5.049 c=5.049 alpha=90.00 beta=90.00 gamma=90.00
Positions (direct):
1 Nd 0.000 0.000 0.000
2 Ho 0.000 0.500 0.500
3 Ho 0.500 0.000 0.500
4 Ho 0.500 0.500 0.000


For SnO2, a GGA-PBE-relaxed structure gives the simulated XRD peak list in this record (λ = 1.5418 Å (Cu Kα)).
Kinematic intensities with the Lorentz-polarization factor, no thermal factor.

Largest 12 diffraction maxima, by intensity, 15 to 90 degrees two-theta:
d (Å)  I (rel.)
4.454  100
2.755  80
2.153  65
2.595  37
1.527  31
1.938  27
1.626  26
1.580  19
1.436  17
1.297  12
1.313  12
1.400  11

Structure:
Unit cell a=5.825 b=5.825 c=5.825 alpha=67.86 beta=67.86 gamma=67.86
Positions (direct):
1 Sn 0.000 0.000 0.000
2 Sn 0.005 0.505 0.505
3 Sn 0.505 0.005 0.505
4 Sn 0.505 0.505 0.005
5 O 0.243 0.243 0.748
6 O 0.243 0.748 0.243
7 O 0.264 0.264 0.264
8 O 0.265 0.760 0.760
9 O 0.747 0.747 0.747
10 O 0.748 0.243 0.243
11 O 0.760 0.265 0.760
12 O 0.760 0.760 0.265